Calculated powder diffractogram
Compound: CsNbO3
Radiation: Cu Ka
Structure: a DFT-relaxed cell (PBE, the Materials Project)

Structural model:
abc: 5.2061 16.1965 9.4149
angles: 90.00 93.05 90.00
Sites, in units of the cell vectors:
Cs1 0.0963 0.2424 0.2065
Cs2 0.0963 0.2576 0.7065
Cs3 0.3864 0.6063 0.0123
Cs4 0.3864 0.8937 0.5123
Cs5 0.6136 0.1063 0.4877
Cs6 0.6136 0.3937 0.9877
Cs7 0.9037 0.7424 0.2935
Cs8 0.9037 0.7576 0.7935
Nb1 0.0286 0.5022 0.3158
Nb2 0.0286 0.9978 0.8158
Nb3 0.4615 0.6045 0.5529
Nb4 0.4615 0.8955 0.0529
Nb5 0.5385 0.1045 0.9471
Nb6 0.5385 0.3955 0.4471
Nb7 0.9714 0.0022 0.1842
Nb8 0.9714 0.4978 0.6842
O1 0.1054 0.0454 0.3501
O2 0.1054 0.4546 0.8501
O3 0.1730 0.6081 0.6750
O4 0.1730 0.8919 0.1750
O5 0.2479 0.6008 0.3711
O6 0.2479 0.8992 0.8711
O7 0.2494 0.0361 0.0405
O8 0.2494 0.4639 0.5405
O9 0.3214 0.0646 0.7662
O10 0.3214 0.4354 0.2662
O11 0.4381 0.2122 0.9554
O12 0.4381 0.2878 0.4554
O13 0.5619 0.7122 0.5446
O14 0.5619 0.7878 0.0446
O15 0.6786 0.5646 0.7338
O16 0.6786 0.9354 0.2338
O17 0.7506 0.5361 0.4595
O18 0.7506 0.9639 0.9595
O19 0.7521 0.1008 0.1289
O20 0.7521 0.3992 0.6289
O21 0.8270 0.1081 0.8250
O22 0.8270 0.3919 0.3250
O23 0.8946 0.5454 0.1499
O24 0.8946 0.9546 0.6499

Principal peaks in the range 2θ from 10° to 90°, by intensity:
d_spacing, two_theta, intensity
3.194, 27.93, 100.0
3.069, 29.09, 91.6
3.398, 26.23, 66.8
3.583, 24.85, 48.2
3.498, 25.46, 48.0
3.745, 23.76, 35.6


Calculated powder diffractogram
Compound: TcN
Radiation: Cu Ka
Structure: a DFT-relaxed cell (PBE, the Materials Project)

Structural model:
abc: 2.7141 2.7141 6.1410
angles: 90.00 90.00 90.00
Sites, in units of the cell vectors:
Tc1 0.0000 0.5000 0.0000
Tc2 0.5000 0.0000 0.5000
N1 0.0000 0.0000 0.2500
N2 0.0000 0.0000 0.7500

Principal peaks in the range 2θ from 10° to 90°, by intensity:
d_spacing, two_theta, intensity
2.482, 36.18, 100.0
3.070, 29.08, 33.3
1.627, 56.55, 32.8
1.634, 56.29, 27.1
1.191, 80.69, 18.5
1.919, 47.37, 17.8


Calculated powder diffractogram
Compound: Ce9Sb16Cl3
Radiation: Cu Ka
Structure: a DFT-relaxed cell (PBE, the Materials Project)

Structural model:
abc: 20.7538 20.7538 4.3177
angles: 90.00 90.00 120.00
Sites, in units of the cell vectors:
Ce1 0.0095 0.6083 0.2500
Ce2 0.0960 0.8567 0.2500
Ce3 0.1433 0.2393 0.2500
Ce4 0.2307 0.5395 0.7500
Ce5 0.2393 0.0960 0.7500
Ce6 0.3089 0.7693 0.7500
Ce7 0.3917 0.4012 0.2500
Ce8 0.4012 0.0095 0.7500
Ce9 0.4605 0.6911 0.7500
Ce10 0.5395 0.3089 0.2500
Ce11 0.5988 0.9905 0.2500
Ce12 0.6083 0.5988 0.7500
Ce13 0.6911 0.2307 0.2500
Ce14 0.7607 0.9040 0.2500
Ce15 0.7693 0.4605 0.2500
Ce16 0.8567 0.7607 0.7500
Ce17 0.9040 0.1433 0.7500
Ce18 0.9905 0.3917 0.7500
Sb1 0.0017 0.7210 0.7500
Sb2 0.1026 0.5075 0.2500
Sb3 0.1276 0.3541 0.7500
Sb4 0.1370 0.6290 0.7500
Sb5 0.1797 0.7523 0.2500
Sb6 0.2265 0.8724 0.7500
Sb7 0.2477 0.4274 0.2500
Sb8 0.2790 0.2807 0.7500
Sb9 0.2807 0.0017 0.2500
Sb10 0.3333 0.6667 0.2500
Sb11 0.3541 0.2265 0.2500
Sb12 0.3710 0.5080 0.7500
Sb13 0.4050 0.8974 0.2500
Sb14 0.4274 0.1797 0.7500
Sb15 0.4925 0.5950 0.2500
Sb16 0.4920 0.8630 0.7500
Sb17 0.5080 0.1370 0.2500
Sb18 0.5075 0.4050 0.7500
Sb19 0.5726 0.8203 0.2500
Sb20 0.5950 0.1026 0.7500
Sb21 0.6290 0.4920 0.2500
Sb22 0.6459 0.7735 0.7500
Sb23 0.6667 0.3333 0.7500
Sb24 0.7193 0.9983 0.7500
Sb25 0.7210 0.7193 0.2500
Sb26 0.7523 0.5726 0.7500
Sb27 0.7735 0.1276 0.2500
Sb28 0.8203 0.2477 0.7500
Sb29 0.8630 0.3710 0.2500
Sb30 0.8724 0.6459 0.2500
Sb31 0.8974 0.4925 0.7500
Sb32 0.9983 0.2790 0.2500
Cl1 0.0492 0.1489 0.7500
Cl2 0.0997 0.9508 0.7500
Cl3 0.1489 0.0997 0.2500
Cl4 0.8511 0.9003 0.7500
Cl5 0.9003 0.0492 0.2500
Cl6 0.9508 0.8511 0.2500

Principal peaks in the range 2θ from 10° to 90°, by intensity:
d_spacing, two_theta, intensity
2.670, 33.57, 100.0
2.982, 29.97, 47.5
2.700, 33.19, 27.9
2.159, 41.84, 27.8
3.397, 26.24, 22.1
2.955, 30.25, 14.8


Calculated powder diffractogram
Compound: KAgSnSe3
Radiation: Cu Ka
Structure: a DFT-relaxed cell (PBE, the Materials Project)

Structural model:
abc: 8.4429 8.4429 20.4911
angles: 90.00 90.00 90.00
Sites, in units of the cell vectors:
K1 0.0000 0.0000 0.0000
K2 0.0000 0.0000 0.1905
K3 0.0000 0.0000 0.5000
K4 0.0000 0.0000 0.6905
K5 0.5000 0.5000 0.0431
K6 0.5000 0.5000 0.3414
K7 0.5000 0.5000 0.5431
K8 0.5000 0.5000 0.8414
Ag1 0.0012 0.3151 0.3445
Ag2 0.0012 0.6849 0.8445
Ag3 0.3151 0.0012 0.8445
Ag4 0.3151 0.9988 0.3445
Ag5 0.6849 0.0012 0.3445
Ag6 0.6849 0.9988 0.8445
Ag7 0.9988 0.3151 0.8445
Ag8 0.9988 0.6849 0.3445
Sn1 0.0000 0.5000 0.0078
Sn2 0.0000 0.5000 0.1834
Sn3 0.0000 0.5000 0.5078
Sn4 0.0000 0.5000 0.6834
Sn5 0.5000 0.0000 0.0078
Sn6 0.5000 0.0000 0.1834
Sn7 0.5000 0.0000 0.5078
Sn8 0.5000 0.0000 0.6834
Se1 0.1543 0.3313 0.0949
Se2 0.1543 0.6687 0.5949
Se3 0.1868 0.3244 0.7498
Se4 0.1868 0.6756 0.2498
Se5 0.1880 0.3259 0.4404
Se6 0.1880 0.6741 0.9404
Se7 0.3244 0.1868 0.2498
Se8 0.3244 0.8132 0.7498
Se9 0.3259 0.1880 0.9404
Se10 0.3259 0.8120 0.4404
Se11 0.3313 0.1543 0.5949
Se12 0.3313 0.8457 0.0949
Se13 0.6687 0.1543 0.0949
Se14 0.6687 0.8457 0.5949
Se15 0.6741 0.1880 0.4404
Se16 0.6741 0.8120 0.9404
Se17 0.6756 0.1868 0.7498
Se18 0.6756 0.8132 0.2498
Se19 0.8120 0.3259 0.9404
Se20 0.8120 0.6741 0.4404
Se21 0.8132 0.3244 0.2498
Se22 0.8132 0.6756 0.7498
Se23 0.8457 0.3313 0.5949
Se24 0.8457 0.6687 0.0949

Principal peaks in the range 2θ from 10° to 90°, by intensity:
d_spacing, two_theta, intensity
5.970, 14.84, 100.0
3.305, 26.98, 93.5
2.655, 33.76, 82.0
2.580, 34.77, 35.5
1.951, 46.54, 28.6
1.961, 46.29, 26.8


Calculated powder diffractogram
Compound: CeSe2
Radiation: Cu Ka
Structure: a DFT-relaxed cell (PBE, the Materials Project)

Structural model:
abc: 13.6682 13.6682 23.5035
angles: 90.00 90.00 101.38
Sites, in units of the cell vectors:
Ce1 0.0000 0.0000 0.1343
Ce2 0.0000 0.0000 0.8657
Ce3 0.0871 0.6879 0.1809
Ce4 0.1616 0.8384 0.0000
Ce5 0.1880 0.5904 0.6838
Ce6 0.3120 0.9129 0.8191
Ce7 0.3397 0.6603 0.5000
Ce8 0.4096 0.8120 0.3162
Ce9 0.5000 0.5000 0.3603
Ce10 0.5000 0.5000 0.6397
Ce11 0.5904 0.1880 0.3162
Ce12 0.6603 0.3397 0.5000
Ce13 0.6879 0.0871 0.8191
Ce14 0.8120 0.4096 0.6838
Ce15 0.8384 0.1616 0.0000
Ce16 0.9129 0.3120 0.1809
Se1 0.0000 0.5000 0.2148
Se2 0.0000 0.5000 0.7169
Se3 0.0028 0.8365 0.9303
Se4 0.0321 0.1761 0.1925
Se5 0.1414 0.6774 0.0703
Se6 0.1635 0.9972 0.0697
Se7 0.1761 0.0321 0.8075
Se8 0.1811 0.6414 0.5720
Se9 0.2468 0.7524 0.7513
Se10 0.2476 0.7532 0.2487
Se11 0.3226 0.8586 0.9297
Se12 0.3255 0.4739 0.6992
Se13 0.3381 0.5068 0.4262
Se14 0.3586 0.8189 0.4280
Se15 0.4739 0.3255 0.3008
Se16 0.4932 0.6619 0.5738
Se17 0.5000 0.0000 0.2831
Se18 0.5000 0.0000 0.7852
Se19 0.5068 0.3381 0.5738
Se20 0.5261 0.6745 0.3008
Se21 0.6414 0.1811 0.4280
Se22 0.6619 0.4932 0.4262
Se23 0.6745 0.5261 0.6992
Se24 0.6774 0.1414 0.9297
Se25 0.7524 0.2468 0.2487
Se26 0.7532 0.2476 0.7513
Se27 0.8189 0.3586 0.5720
Se28 0.8239 0.9679 0.8075
Se29 0.8365 0.0028 0.0697
Se30 0.8586 0.3226 0.0703
Se31 0.9679 0.8239 0.1925
Se32 0.9972 0.1635 0.9303

Principal peaks in the range 2θ from 10° to 90°, by intensity:
d_spacing, two_theta, intensity
8.659, 10.22, 100.0
8.835, 10.01, 76.3
6.443, 13.74, 38.5
3.880, 22.92, 31.8
5.029, 17.64, 31.7
2.432, 36.96, 29.9


Calculated powder diffractogram
Compound: MgTiCu4S4
Radiation: Cu Ka
Structure: a DFT-relaxed cell (PBE, the Materials Project)

Structural model:
abc: 6.7975 6.7975 6.7975
angles: 131.56 131.56 70.93
Sites, in units of the cell vectors:
Mg1 0.0000 0.0000 0.0000
Ti1 0.2500 0.7500 0.5000
Cu1 0.2505 0.2505 0.0000
Cu2 0.5055 0.0055 0.5000
Cu3 0.7495 0.7495 0.0000
Cu4 0.9945 0.4945 0.5000
S1 0.1319 0.1318 0.5127
S2 0.3808 0.8681 0.9999
S3 0.6191 0.6192 0.4873
S4 0.8682 0.3809 0.0001

Principal peaks in the range 2θ from 10° to 90°, by intensity:
d_spacing, two_theta, intensity
3.212, 27.77, 100.0
1.965, 46.21, 90.0
1.972, 46.03, 45.8
2.789, 32.10, 27.1
1.680, 54.61, 27.0
1.137, 85.37, 27.0